(1)
This entry pairs a crystal structure of CsTlIr2 with its computed powder diffractogram. Radiation: Cu Kα (λ = 1.5418 Å). Structure: a cell relaxed with GGA-PBE.
Lines closer than 0.1° are merged.

Structure:
```
CsTlIr2
1.0
0.000 3.522 3.522
3.522 0.000 3.522
3.522 3.522 0.000
Cs Tl Ir
1 1 2
direct
0.000 0.000 0.000
0.500 0.500 0.500
0.250 0.250 0.250
0.750 0.750 0.750
```

Principal peaks in the range 5° ≤ 2θ ≤ 70°, in order of rising 2θ:
Position (°2θ)  Rel. int.
21.85  2
25.28  1
36.06  100
42.56  1
51.92  18
56.98  1
64.84  37



(2)
This entry pairs a crystal structure of CsK8 with its computed powder diffractogram. Radiation: Cu Kα (λ = 1.5418 Å). Structure: a cell relaxed with GGA-PBE.
Lines closer than 0.1° are merged.

Structure:
```
CsK8
1.0
-8.140 8.140 2.578
8.140 -8.140 2.578
8.140 8.140 -2.578
Cs K
1 8
direct
0.000 0.000 0.000
0.000 0.334 0.334
0.000 0.666 0.666
0.327 0.327 0.654
0.327 0.673 0.000
0.334 0.000 0.334
0.666 0.000 0.666
0.673 0.327 0.000
0.673 0.673 0.346
```

Principal peaks in the range 5° ≤ 2θ ≤ 70°, in order of rising 2θ:
Position (°2θ)  Rel. int.
7.68  18
21.11  10
23.18  53
23.80  100
33.01  20
34.80  10
41.11  42
42.23  21
48.72  12
53.38  10